Entry 1:
Na3VP2O9: simulated X-ray powder pattern (CuKα), based on a structure optimized by DFT (PBE+U).
Peak positions follow from Bragg's law for the DFT cell and can differ from measured ones.

Crystal structure
Unit cell a=8.6982 b=8.6982 c=7.4226 alpha=93.78 beta=93.78 gamma=47.32
Sites, in units of the cell vectors:
Na (0.0000, 0.5000, 0.5000)
Na (0.2212, 0.7788, 0.0000)
Na (0.3940, 0.3940, 0.2999)
Na (0.5000, 0.0000, 0.5000)
Na (0.6060, 0.6060, 0.7001)
Na (0.7788, 0.2212, 0.0000)
V (0.0000, 0.5000, 0.0000)
V (0.5000, 0.0000, 0.0000)
P (0.1282, 0.1282, 0.7120)
P (0.3810, 0.3810, 0.7734)
P (0.6190, 0.6190, 0.2266)
P (0.8718, 0.8718, 0.2880)
O (0.0053, 0.6343, 0.2111)
O (0.0444, 0.0444, 0.7955)
O (0.1362, 0.1362, 0.5115)
O (0.1679, 0.5305, 0.8793)
O (0.2447, 0.2447, 0.0803)
O (0.3418, 0.3418, 0.5801)
O (0.3657, 0.9947, 0.7889)
O (0.4695, 0.8321, 0.1207)
O (0.4764, 0.4764, 0.7963)
O (0.5236, 0.5236, 0.2037)
O (0.5305, 0.1679, 0.8793)
O (0.6343, 0.0053, 0.2111)
O (0.6582, 0.6582, 0.4199)
O (0.7553, 0.7553, 0.9197)
O (0.8321, 0.4695, 0.1207)
O (0.8638, 0.8638, 0.4885)
O (0.9556, 0.9556, 0.2045)
O (0.9947, 0.3657, 0.7889)

Top 8 peaks for 2θ from 10° to 90°, by angle:
- 11.13°, I 100
- 11.95°, I 72
- 18.07°, I 50
- 27.30°, I 33
- 28.26°, I 33
- 31.83°, I 33
- 34.22°, I 73
- 35.34°, I 46

***

Entry 2:
NaV2P2O14: simulated X-ray powder pattern (CuKα), based on a structure optimized by DFT (PBE+U).
Peak positions follow from Bragg's law for the DFT cell and can differ from measured ones.

Crystal structure
Unit cell a=6.2735 b=6.2932 c=7.1670 alpha=100.53 beta=93.30 gamma=90.09
Sites, in units of the cell vectors:
Na (0.0000, 0.0000, 0.0000)
V (0.1649, 0.5271, 0.5923)
V (0.6635, 0.0015, 0.4633)
P (0.1608, 0.0119, 0.5153)
P (0.6581, 0.5179, 0.5107)
O (0.1190, 0.6001, 0.9801)
O (0.1517, 0.8492, 0.6568)
O (0.1540, 0.4754, 0.3657)
O (0.1726, 0.2409, 0.6491)
O (0.3537, 0.9735, 0.3939)
O (0.4426, 0.1237, 0.0286)
O (0.4671, 0.5596, 0.6469)
O (0.5848, 0.9962, 0.0532)
O (0.6425, 0.2905, 0.3911)
O (0.6609, 0.6830, 0.3781)
O (0.7013, 0.0447, 0.6937)
O (0.8670, 0.5416, 0.6451)
O (0.9626, 0.9933, 0.3742)
O (0.9962, 0.4600, 0.0145)

Top 8 peaks for 2θ from 10° to 90°, by angle:
- 12.58°, I 100
- 25.32°, I 21
- 28.50°, I 18
- 28.86°, I 30
- 29.34°, I 8
- 30.56°, I 15
- 31.96°, I 12
- 34.94°, I 10

***

Entry 3:
NaVPO5: simulated X-ray powder pattern (CuKα), based on a structure optimized by DFT (PBE+U).
Peak positions follow from Bragg's law for the DFT cell and can differ from measured ones.

Crystal structure
Unit cell a=6.6310 b=8.5794 c=7.1120 alpha=90.00 beta=114.88 gamma=90.00
Sites, in units of the cell vectors:
Na (0.2470, 0.0860, 0.2178)
Na (0.2470, 0.4140, 0.7178)
Na (0.7530, 0.5860, 0.2822)
Na (0.7530, 0.9140, 0.7822)
V (0.2535, 0.7405, 0.9810)
V (0.2535, 0.7595, 0.4810)
V (0.7465, 0.2405, 0.5190)
V (0.7465, 0.2595, 0.0190)
P (0.2500, 0.0660, 0.7491)
P (0.2500, 0.4340, 0.2491)
P (0.7500, 0.5660, 0.7509)
P (0.7500, 0.9340, 0.2509)
O (0.0637, 0.1712, 0.5941)
O (0.0637, 0.3288, 0.0941)
O (0.1542, 0.5390, 0.3721)
O (0.1542, 0.9610, 0.8721)
O (0.2485, 0.6826, 0.7469)
O (0.2485, 0.8174, 0.2469)
O (0.3559, 0.5372, 0.1339)
O (0.3559, 0.9628, 0.6339)
O (0.4266, 0.1796, 0.8987)
O (0.4266, 0.3204, 0.3987)
O (0.5734, 0.6796, 0.6013)
O (0.5734, 0.8204, 0.1013)
O (0.6441, 0.0372, 0.3661)
O (0.6441, 0.4628, 0.8661)
O (0.7515, 0.1826, 0.7531)
O (0.7515, 0.3174, 0.2531)
O (0.8458, 0.0390, 0.1279)
O (0.8458, 0.4610, 0.6279)
O (0.9363, 0.6712, 0.9059)
O (0.9363, 0.8288, 0.4059)

Top 8 peaks for 2θ from 10° to 90°, by angle:
- 18.01°, I 49
- 18.52°, I 22
- 27.34°, I 99
- 29.70°, I 70
- 34.76°, I 100
- 39.87°, I 22
- 54.08°, I 20
- 56.01°, I 23